Structure and simulated powder XRD pattern of Al2Ag3Au5 (a structure optimized by DFT (PBE); copper Kα).
Lines closer than 0.1° are merged.

Top 12 peaks for 5° ≤ 2θ ≤ 70°, most intense first:
| 2θ/deg | I/Imax |
| --- | --- |
| 35.58 | 100 |
| 35.45 | 97 |
| 46.72 | 66 |
| 42.20 | 50 |
| 64.78 | 39 |
| 22.79 | 32 |
| 43.27 | 30 |
| 10.58 | 29 |
| 43.38 | 29 |
| 13.79 | 28 |
| 27.78 | 28 |
| 67.56 | 25 |

Atomic structure:
Lattice parameters (Å, degrees): 8.896 8.896 8.896 103.44 87.58 144.07
Fractional positions:
Al 0.143 0.144 0.287
Al 0.357 0.644 0.001
Al 0.643 0.356 0.999
Al 0.857 0.856 0.713
Ag 0.211 0.895 0.106
Ag 0.250 0.250 0.000
Ag 0.289 0.395 0.683
Ag 0.711 0.605 0.317
Ag 0.750 0.750 0.000
Ag 0.789 0.105 0.894
Au 0.170 0.625 0.795
Au 0.250 0.501 0.251
Au 0.250 0.750 0.500
Au 0.250 0.999 0.749
Au 0.330 0.125 0.455
Au 0.670 0.875 0.545
Au 0.750 0.001 0.251
Au 0.750 0.250 0.500
Au 0.750 0.499 0.749
Au 0.830 0.375 0.205